1.
Diffraction record for CaBi2As2. The powder diffractogram is computed, not measured: it uses a crystal structure in Alexandria, relaxed with GGA-PBE and Cu Kα (λ = 1.5418 Å).
Lines closer than 0.1° are merged.

Atomic structure:
a b c (Å): 4.478 4.478 14.651
angles (deg): 90.00 90.00 90.00
Space group I4/mmm (No. 139)
Unique sites:
1 Ca 0.000 0.000 0.000 x2
2 Bi 0.000 0.500 0.250 x4
3 As 0.000 0.000 0.416 x4

Principal peaks in the range 10° ≤ 2θ ≤ 80°, by angle:
d (Å)	intensity	(hkl)
7.325	62	0 0 2
3.663	22	0 0 4
2.906	100	1 1 2
2.395	43	1 1 4
2.239	32	2 0 0
1.584	23	2 2 0
1.390	22	3 1 2
1.329	20	1 1 10


2.
Diffraction record for Ca3BiAs. The powder diffractogram is computed, not measured: it uses a crystal structure in Alexandria, relaxed with GGA-PBE and Cu Kα (λ = 1.5418 Å).
Lines closer than 0.1° are merged.

Atomic structure:
a b c (Å): 4.638 7.302 9.196
angles (deg): 90.00 90.00 90.00
Space group Pmmn (No. 59, origin choice 2)
Unique sites:
1 Ca 0.250 0.009 0.161 x4
2 Ca 0.250 0.250 0.573 x2
3 Bi 0.250 0.750 0.652 x2
4 As 0.250 0.250 0.895 x2

Principal peaks in the range 10° ≤ 2θ ≤ 80°, by angle:
d (Å)	intensity	(hkl)
5.718	33	0 1 1
4.141	39	1 0 1
3.891	69	0 1 2
3.651	32	0 2 0
3.602	45	1 1 1
3.265	45	1 0 2
2.739	100	1 2 1
2.414	44	1 1 3


3.
Diffraction record for CaCrBiAs2. The powder diffractogram is computed, not measured: it uses a crystal structure in Alexandria, relaxed with GGA-PBE and Cu Kα (λ = 1.5418 Å).
Lines closer than 0.1° are merged.

Atomic structure:
a b c (Å): 4.698 4.698 5.715
angles (deg): 90.00 90.00 90.00
Space group P4/mmm (No. 123)
Unique sites:
1 Ca 0.000 0.000 0.000 x1
2 Cr 0.500 0.500 0.500 x1
3 Bi 0.500 0.500 0.000 x1
4 As 0.000 0.500 0.500 x2

Principal peaks in the range 10° ≤ 2θ ≤ 80°, by angle:
d (Å)	intensity	(hkl)
4.698	64	1 0 0
2.872	100	1 1 1
2.857	42	0 0 2
2.441	25	1 0 2
2.349	49	2 0 0
1.815	44	2 0 2
1.653	20	1 1 3
1.437	45	2 2 2